Diffraction record for Ca6GeO8. The powder XRD pattern is simulated, not measured: it uses a structure optimized by DFT (GGA-PBE) and Cu Kα (λ = 1.5418 Å).
Neutral-atom scattering factors, no anomalous dispersion.

Principal peaks in the range 15° ≤ 2θ ≤ 90°, sorted by position:
2θ/deg	intensity
16.17	61
31.25	16
32.68	44
37.92	100
49.93	13
54.70	56
65.20	23
68.49	16

Structural model:
```
Ca6GeO8
1.0
0.000 4.746 4.746
4.746 0.000 4.746
4.746 4.746 0.000
Ca Ge O
6 1 8
Direct
0.000 0.000 0.500
0.000 0.500 0.000
0.000 0.500 0.500
0.500 0.000 0.000
0.500 0.000 0.500
0.500 0.500 0.000
0.000 0.000 0.000
0.211 0.211 0.789
0.211 0.789 0.211
0.211 0.789 0.789
0.250 0.250 0.250
0.750 0.750 0.750
0.789 0.211 0.211
0.789 0.211 0.789
0.789 0.789 0.211
```